1.
Theoretical powder diffractogram of La5PrI12 for copper Kα, from DFT lattice parameters and positions (GGA-PBE).
Lines closer than 0.1° are merged.

Structure:
```
data_La5PrI12
_chemical_formula_sum 'La10 Pr2 I24'
_cell_length_a 7.464
_cell_length_b 12.938
_cell_length_c 16.608
_cell_angle_alpha 90.00
_cell_angle_beta 90.05
_cell_angle_gamma 90.00
_symmetry_space_group_name_H-M 'C 1 2/m 1'
_symmetry_Int_Tables_number 12
loop_
_symmetry_equiv_pos_as_xyz
'x,y,z'
'-x,-y,-z'
'-x,y,-z'
'x,-y,z'
'x+1/2,y+1/2,z'
'-x+1/2,-y+1/2,-z'
'-x+1/2,y+1/2,-z'
'x+1/2,-y+1/2,z'
loop_
_atom_site_label
_atom_site_fract_x
_atom_site_fract_y
_atom_site_fract_z
La1 0.000 0.000 0.000
La2 0.000 0.167 0.500
La3 0.000 0.333 0.000
Pr1 0.000 0.500 0.500
I1 0.166 0.167 0.874
I2 0.166 0.334 0.625
I3 0.166 0.500 0.874
I4 0.169 0.000 0.625
```

Main lines, low angle first (2θ from 5° to 70°):
d/Å, intensity, (hkl)
8.304, 65, 0 0 2
3.406, 100, 1 3 2
3.096, 87, 1 3 3
2.776, 35, 2 0 -4
2.482, 47, 1 3 5
2.137, 48, 3 3 -1

---

2.
Theoretical powder diffractogram of Sm7Tl2Sn for copper Kα, from DFT lattice parameters and positions (GGA-PBE).
Lines closer than 0.1° are merged.

Structure:
```
data_Sm7Tl2Sn
_chemical_formula_sum 'Sm7 Tl2 Sn1'
_cell_length_a 5.4194
_cell_length_b 5.4194
_cell_length_c 12.7898
_cell_angle_alpha 90.00
_cell_angle_beta 90.00
_cell_angle_gamma 120.00
_symmetry_space_group_name_H-M 'P 3 m 1'
_symmetry_Int_Tables_number 156
loop_
_symmetry_equiv_pos_as_xyz
'x,y,z'
'-y,x-y,z'
'-x+y,-x,z'
'-y,-x,z'
'-x+y,y,z'
'x,x-y,z'
loop_
_atom_site_label
_atom_site_fract_x
_atom_site_fract_y
_atom_site_fract_z
Sm1 0.0000 0.0000 0.0000
Sm2 0.0000 0.0000 0.2552
Sm3 0.0000 0.0000 0.7348
Sm4 0.3333 0.6667 0.4079
Sm5 0.3333 0.6667 0.8740
Sm6 0.6667 0.3333 0.1196
Sm7 0.6667 0.3333 0.5823
Tl1 0.0000 0.0000 0.4951
Tl2 0.6667 0.3333 0.8506
Sn1 0.3333 0.6667 0.1439
```

Main lines, low angle first (2θ from 5° to 70°):
d/Å, intensity, (hkl)
2.710, 100, 1 1 0
2.642, 88, 1 0 4
1.892, 33, 0 2 4
1.564, 19, 3 0 0
1.551, 35, 2 1 4
1.514, 16, 0 1 8